Diffraction record for Mg2Si. The powder diffractogram is theoretical, not measured: it uses a crystal structure in the Materials Project, relaxed with GGA-PBE and Cu Kα.
Kinematic intensities with the Lorentz-polarization factor, no thermal factor.

Cell and atoms:
Cell lengths 5.3028, 6.1473, 7.6350 Å; angles 100.30, 97.50, 105.92 degrees
Space group P1 (No. 1)
One atom of each set of equivalent atoms:
Mg (0.0000, 0.0000, 0.0000) (multiplicity 1)
Mg (0.0009, 0.5002, 0.9999) (multiplicity 1)
Mg (0.0123, 0.1720, 0.6665) (multiplicity 1)
Mg (0.4858, 0.7422, 0.4975) (multiplicity 1)
Mg (0.4997, 0.6073, 0.8424) (multiplicity 1)
Mg (0.5015, 0.3918, 0.1565) (multiplicity 1)
Mg (0.5148, 0.2571, 0.5015) (multiplicity 1)
Mg (0.9879, 0.8277, 0.3331) (multiplicity 1)
Si (0.0040, 0.3363, 0.3431) (multiplicity 1)
Si (0.4800, 0.0695, 0.8217) (multiplicity 1)
Si (0.5190, 0.9285, 0.1771) (multiplicity 1)
Si (0.9970, 0.6642, 0.6569) (multiplicity 1)

Top 6 peaks for 10 to 90 degrees two-theta, by angle:
2θ = 35.91°, rel. 100, (2 0 0)
2θ = 37.05°, rel. 47, (1 -2 2)
2θ = 37.57°, rel. 45, (1 0 -3)
2θ = 41.72°, rel. 33, (1 2 -2)
2θ = 41.84°, rel. 32, (-2 2 1)
2θ = 44.01°, rel. 27, (1 0 3)



Diffraction record for MgTe4MoW3Se2S2. The powder diffractogram is theoretical, not measured: it uses a crystal structure in the Materials Project, relaxed with GGA-PBE and Cu Kα.
Kinematic intensities with the Lorentz-polarization factor, no thermal factor.

Cell and atoms:
Cell lengths 5.8809, 3.3962, 44.6733 Å; angles 90.00, 90.26, 90.00 degrees
Space group Cm (No. 8)
One atom of each set of equivalent atoms:
Mg (0.0000, 0.0000, 0.0000) (multiplicity 2)
Te (0.0013, 0.0000, 0.3197) (multiplicity 2)
Te (0.1652, 0.5000, 0.6718) (multiplicity 2)
Te (0.1681, 0.5000, 0.7563) (multiplicity 2)
Te (0.4985, 0.5000, 0.2357) (multiplicity 2)
Mo (0.1665, 0.5000, 0.2777) (multiplicity 2)
W (0.0000, 0.0000, 0.7140) (multiplicity 2)
W (0.1667, 0.5000, 0.8972) (multiplicity 2)
W (0.4981, 0.5000, 0.0979) (multiplicity 2)
Se (0.0012, 0.0000, 0.9344) (multiplicity 2)
Se (0.4990, 0.5000, 0.8603) (multiplicity 2)
S (0.1637, 0.5000, 0.0642) (multiplicity 2)
S (0.1660, 0.5000, 0.1315) (multiplicity 2)

Top 6 peaks for 10 to 90 degrees two-theta, by angle:
2θ = 11.89°, rel. 61, (0 0 6)
2θ = 30.41°, rel. 89, (1 1 0)
2θ = 34.46°, rel. 100, (1 1 8)
2θ = 40.31°, rel. 65, (1 1 -13)
2θ = 40.43°, rel. 62, (2 0 13)
2θ = 54.01°, rel. 54, (3 1 0)



Diffraction record for MgSi. The powder diffractogram is theoretical, not measured: it uses a crystal structure in the Materials Project, relaxed with GGA-PBE and Cu Kα.
Kinematic intensities with the Lorentz-polarization factor, no thermal factor.

Cell and atoms:
Cell lengths 11.4658, 3.9575, 10.0281 Å; angles 90.00, 92.08, 90.00 degrees
Space group Cm (No. 8)
One atom of each set of equivalent atoms:
Mg (0.0000, 0.0000, 0.0000) (multiplicity 2)
Mg (0.0410, 0.5000, 0.4929) (multiplicity 2)
Mg (0.1705, 0.5000, 0.8255) (multiplicity 2)
Mg (0.2168, 0.0000, 0.3290) (multiplicity 2)
Mg (0.3354, 0.5000, 0.5379) (multiplicity 2)
Mg (0.3807, 0.0000, 0.7752) (multiplicity 2)
Si (0.0189, 0.0000, 0.7150) (multiplicity 2)
Si (0.0518, 0.5000, 0.2022) (multiplicity 2)
Si (0.1934, 0.0000, 0.6019) (multiplicity 2)
Si (0.2672, 0.5000, 0.1413) (multiplicity 2)
Si (0.2781, 0.0000, 0.0062) (multiplicity 2)
Si (0.4444, 0.5000, 0.2945) (multiplicity 2)

Top 6 peaks for 10 to 90 degrees two-theta, by angle:
2θ = 33.59°, rel. 32, (3 1 -1)
2θ = 34.05°, rel. 84, (3 1 1)
2θ = 35.83°, rel. 100, (1 1 -3)
2θ = 36.27°, rel. 58, (1 1 3)
2θ = 42.02°, rel. 60, (3 1 -3)
2θ = 45.86°, rel. 60, (0 2 0)



Diffraction record for MgZnAg2. The powder diffractogram is theoretical, not measured: it uses a crystal structure in the Materials Project, relaxed with GGA-PBE and Cu Kα.
Kinematic intensities with the Lorentz-polarization factor, no thermal factor.

Cell and atoms:
Cell lengths 6.5129, 6.5129, 6.5129 Å; angles 90.00, 90.00, 90.00 degrees
Space group Fm-3m (No. 225)
One atom of each set of equivalent atoms:
Mg (0.0000, 0.0000, 0.0000) (multiplicity 4)
Zn (0.0000, 0.0000, 0.5000) (multiplicity 4)
Ag (0.2500, 0.2500, 0.2500) (multiplicity 8)

Top 6 peaks for 10 to 90 degrees two-theta, by angle:
2θ = 27.39°, rel. 21, (2 0 0)
2θ = 39.12°, rel. 100, (2 2 0)
2θ = 56.52°, rel. 16, (4 0 0)
2θ = 63.92°, rel. 7, (4 2 0)
2θ = 70.88°, rel. 32, (4 2 2)
2θ = 84.07°, rel. 10, (4 4 0)



Diffraction record for Sm2MgTl. The powder diffractogram is theoretical, not measured: it uses a crystal structure in the Materials Project, relaxed with GGA-PBE and Cu Kα.
Kinematic intensities with the Lorentz-polarization factor, no thermal factor.

Cell and atoms:
Cell lengths 7.7072, 7.7072, 7.7072 Å; angles 90.00, 90.00, 90.00 degrees
Space group Fm-3m (No. 225)
One atom of each set of equivalent atoms:
Sm (0.2500, 0.2500, 0.2500) (multiplicity 8)
Mg (0.0000, 0.0000, 0.0000) (multiplicity 4)
Tl (0.0000, 0.0000, 0.5000) (multiplicity 4)

Top 6 peaks for 10 to 90 degrees two-theta, by angle:
2θ = 19.95°, rel. 25, (1 1 1)
2θ = 32.87°, rel. 100, (2 2 0)
2θ = 38.75°, rel. 14, (3 1 1)
2θ = 47.17°, rel. 18, (4 0 0)
2θ = 58.68°, rel. 38, (4 2 2)
2θ = 78.49°, rel. 17, (6 2 0)



Diffraction record for Al. The powder diffractogram is theoretical, not measured: it uses a crystal structure in the Materials Project, relaxed with GGA-PBE and Cu Kα.
Kinematic intensities with the Lorentz-polarization factor, no thermal factor.

Cell and atoms:
Cell lengths 3.9424, 3.9424, 12.3794 Å; angles 90.00, 90.00, 90.00 degrees
Space group I4/mmm (No. 139)
One atom of each set of equivalent atoms:
Al (0.0000, 0.0000, 0.1030) (multiplicity 4)
Al (0.0000, 0.5000, 0.2500) (multiplicity 4)

Top 6 peaks for 10 to 90 degrees two-theta, by angle:
2θ = 14.31°, rel. 74, (0 0 2)
2θ = 23.69°, rel. 100, (1 0 1)
2θ = 35.31°, rel. 85, (1 1 2)
2θ = 43.15°, rel. 29, (1 0 5)
2θ = 43.70°, rel. 96, (1 1 4)
2θ = 46.05°, rel. 48, (2 0 0)



Diffraction record for Ba2YTlSn2O7. The powder diffractogram is theoretical, not measured: it uses a crystal structure in the Materials Project, relaxed with GGA-PBE and Cu Kα.
Kinematic intensities with the Lorentz-polarization factor, no thermal factor.

Cell and atoms:
Cell lengths 4.2385, 4.2385, 13.0123 Å; angles 90.00, 90.00, 90.00 degrees
Space group P4/mmm (No. 123)
One atom of each set of equivalent atoms:
Ba (0.0000, 0.0000, 0.1884) (multiplicity 2)
Y (0.0000, 0.0000, 0.5000) (multiplicity 1)
Tl (0.5000, 0.5000, 0.0000) (multiplicity 1)
Sn (0.5000, 0.5000, 0.3692) (multiplicity 2)
O (0.0000, 0.0000, 0.0000) (multiplicity 1)
O (0.0000, 0.5000, 0.3909) (multiplicity 4)
O (0.5000, 0.5000, 0.2117) (multiplicity 2)

Top 6 peaks for 10 to 90 degrees two-theta, by angle:
2θ = 25.07°, rel. 17, (1 0 2)
2θ = 29.47°, rel. 100, (1 0 3)
2θ = 29.81°, rel. 64, (1 1 0)
2θ = 42.66°, rel. 32, (2 0 0)
2θ = 46.20°, rel. 14, (1 1 5)
2θ = 52.70°, rel. 41, (2 1 3)



Diffraction record for SrDy2CuO5. The powder diffractogram is theoretical, not measured: it uses a crystal structure in the Materials Project, relaxed with GGA-PBE and Cu Kα.
Kinematic intensities with the Lorentz-polarization factor, no thermal factor.

Cell and atoms:
Cell lengths 12.0890, 5.6430, 7.1813 Å; angles 90.00, 90.00, 90.00 degrees
Space group Pnma (No. 62)
One atom of each set of equivalent atoms:
Sr (0.0866, 0.2500, 0.0821) (multiplicity 4)
Dy (0.0732, 0.7500, 0.3944) (multiplicity 4)
Dy (0.2136, 0.2500, 0.6130) (multiplicity 4)
Cu (0.1633, 0.7500, 0.7789) (multiplicity 4)
O (0.0670, 0.5077, 0.6641) (multiplicity 8)
O (0.0942, 0.7500, 0.0745) (multiplicity 4)
O (0.2236, 0.0061, 0.3485) (multiplicity 8)

Top 6 peaks for 10 to 90 degrees two-theta, by angle:
2θ = 29.95°, rel. 100, (3 1 1)
2θ = 30.42°, rel. 70, (1 1 2)
2θ = 31.71°, rel. 50, (0 2 0)
2θ = 32.13°, rel. 28, (4 0 1)
2θ = 45.77°, rel. 39, (4 2 1)
2θ = 46.74°, rel. 22, (3 2 2)